For YSi3, a structure optimized by DFT (PBE) gives the calculated powder X-ray diffraction pattern in this record (copper Kα).

Lattice parameters (Å, degrees): 7.4569 7.4569 7.4569 121.97 121.97 86.62
Sites, in units of the cell vectors:
Y (0.1710, 0.1710, 0.0000)
Y (0.2500, 0.7500, 0.5000)
Y (0.7500, 0.2500, 0.5000)
Y (0.8290, 0.8290, 0.0000)
Si (0.0000, 0.3283, 0.3283)
Si (0.0000, 0.6717, 0.6717)
Si (0.2016, 0.2016, 0.6275)
Si (0.2016, 0.5741, 0.0000)
Si (0.3283, 0.0000, 0.3283)
Si (0.4259, 0.4259, 0.6275)
Si (0.4259, 0.7984, 0.0000)
Si (0.5741, 0.2016, 0.0000)
Si (0.5741, 0.5741, 0.3725)
Si (0.6717, 0.0000, 0.6717)
Si (0.7984, 0.4259, 0.0000)
Si (0.7984, 0.7984, 0.3725)

Top 6 peaks for 2θ from 5° to 70°, low angle first:
| 2theta | I_rel |
| --- | --- |
| 29.7 | 1000 |
| 35.1 | 677 |
| 37.3 | 998 |
| 37.5 | 775 |
| 38.2 | 827 |
| 38.9 | 636 |



For Er2Ga9Co3, a structure optimized by DFT (PBE) gives the calculated powder X-ray diffraction pattern in this record (copper Kα).

Lattice parameters (Å, degrees): 7.3334 7.3334 9.3579 90.00 90.00 60.20
Sites, in units of the cell vectors:
Er (0.0030, 0.6688, 0.7500)
Er (0.3312, 0.9970, 0.7500)
Er (0.6688, 0.0030, 0.2500)
Er (0.9970, 0.3312, 0.2500)
Ga (0.0005, 0.3343, 0.5733)
Ga (0.0005, 0.3343, 0.9267)
Ga (0.1204, 0.8796, 0.2500)
Ga (0.3333, 0.6667, 0.5591)
Ga (0.3333, 0.6667, 0.9409)
Ga (0.3343, 0.0005, 0.0733)
Ga (0.3343, 0.0005, 0.4267)
Ga (0.3366, 0.4484, 0.2500)
Ga (0.4484, 0.3366, 0.7500)
Ga (0.5516, 0.6634, 0.2500)
Ga (0.6634, 0.5516, 0.7500)
Ga (0.6657, 0.9995, 0.5733)
Ga (0.6657, 0.9995, 0.9267)
Ga (0.6667, 0.3333, 0.0591)
Ga (0.6667, 0.3333, 0.4409)
Ga (0.8796, 0.1204, 0.7500)
Ga (0.9995, 0.6657, 0.0733)
Ga (0.9995, 0.6657, 0.4267)
Co (0.0000, 0.0000, 0.0000)
Co (0.0000, 0.0000, 0.5000)
Co (0.3288, 0.3288, 0.0000)
Co (0.3288, 0.3288, 0.5000)
Co (0.6712, 0.6712, 0.0000)
Co (0.6712, 0.6712, 0.5000)

Top 6 peaks for 2θ from 5° to 70°, low angle first:
| 2theta | I_rel |
| --- | --- |
| 26.1 | 133 |
| 37.9 | 1000 |
| 38.5 | 157 |
| 38.7 | 165 |
| 42.6 | 460 |
| 42.8 | 226 |